Computed X-ray powder pattern
Compound: MnRh
Radiation: CuKα
Structure: a cell relaxed with PBE

Largest 10 diffraction maxima, by intensity, 10° ≤ 2θ ≤ 90°:
| 2θ (°) | intensity |
| --- | --- |
| 41.14 | 100 |
| 49.10 | 29 |
| 86.41 | 22 |
| 69.05 | 20 |
| 45.35 | 19 |
| 26.48 | 15 |
| 80.88 | 13 |
| 89.30 | 10 |
| 71.97 | 9 |
| 41.71 | 5 |

Structure:
```
data_MnRh
_space_group_name_H-M_alt 'I 41/a m d'
_space_group_IT_number 141
_cell_length_a 3.7109
_cell_length_b 3.7109
_cell_length_c 7.9989
_cell_angle_alpha 90.00
_cell_angle_beta 90.00
_cell_angle_gamma 90.00
loop_
_space_group_symop_operation_xyz
'x,y,z'
'-x,-y,-z'
'-y+1/4,x+3/4,z+1/4'
'y+1/4,-x+3/4,-z+1/4'
'-x+1/2,-y,z+1/2'
'x+1/2,y,-z+1/2'
'y+1/4,-x+1/4,z+3/4'
'-y+1/4,x+1/4,-z+3/4'
'x,-y,-z'
'-x,y,z'
'-y+1/4,-x+1/4,-z+3/4'
'y+1/4,x+1/4,z+3/4'
'-x+1/2,y,-z+1/2'
'x+1/2,-y,z+1/2'
'y+1/4,x+3/4,-z+1/4'
'-y+1/4,-x+3/4,z+1/4'
'x+1/2,y+1/2,z+1/2'
'-x+1/2,-y+1/2,-z+1/2'
'-y+3/4,x+1/4,z+3/4'
'y+3/4,-x+1/4,-z+3/4'
'-x,-y+1/2,z'
'x,y+1/2,-z'
'y+3/4,-x+3/4,z+1/4'
'-y+3/4,x+3/4,-z+1/4'
'x+1/2,-y+1/2,-z+1/2'
'-x+1/2,y+1/2,z+1/2'
'-y+3/4,-x+3/4,-z+1/4'
'y+3/4,x+3/4,z+1/4'
'-x,y+1/2,-z'
'x,-y+1/2,z'
'y+3/4,x+1/4,-z+3/4'
'-y+3/4,-x+1/4,z+3/4'
loop_
_atom_site_label
_atom_site_fract_x
_atom_site_fract_y
_atom_site_fract_z
Mn1 0.0000 0.2500 0.3750
Rh1 0.0000 0.2500 0.8750
```